[1]
Starting from a crystal structure in Alexandria, relaxed with GGA+U, the XRD peak list of V2RhO4 was computed for Cu Ka.

The 10 most intense peaks (2θ = 15–90°), in order of rising 2θ:
2θ (°)	d_spacing	I_rel
28.74	3.106	31
28.99	3.080	61
33.90	2.645	100
34.33	2.612	49
51.08	1.788	22
54.30	1.690	35
55.18	1.664	16
59.53	1.553	20
60.09	1.540	38
70.55	1.335	11

abc: 6.160 6.160 6.160
angles: 119.45 119.45 90.96
Atoms (fractional coordinates):
1 V 0.000 0.000 0.000
2 V 0.500 0.000 0.000
3 V 0.500 0.000 0.500
4 V 0.500 0.500 0.500
5 Rh 0.125 0.375 0.750
6 Rh 0.875 0.625 0.250
7 O 0.258 0.798 0.026
8 O 0.268 0.242 0.041
9 O 0.272 0.232 0.474
10 O 0.298 0.772 0.541
11 O 0.702 0.228 0.459
12 O 0.728 0.768 0.526
13 O 0.732 0.758 0.959
14 O 0.742 0.202 0.974

---

[2]
Starting from a crystal structure in Alexandria, relaxed with GGA+U, the XRD peak list of VRh2O6 was computed for Cu Ka.

The 10 most intense peaks (2θ = 15–90°), in order of rising 2θ:
2θ (°)	d_spacing	I_rel
20.71	4.289	8
28.96	3.083	100
36.28	2.476	35
47.07	1.931	25
55.63	1.652	40
60.84	1.523	22
65.26	1.430	14
66.93	1.398	9
84.29	1.149	8
89.77	1.092	8

abc: 8.578 8.578 4.436
angles: 90.00 90.00 120.00
Atoms (fractional coordinates):
1 V 0.000 0.000 0.000
2 V 0.333 0.667 0.503
3 V 0.667 0.333 0.497
4 Rh 0.000 0.321 0.500
5 Rh 0.000 0.654 0.000
6 Rh 0.321 0.000 0.500
7 Rh 0.346 0.346 0.000
8 Rh 0.654 0.000 0.000
9 Rh 0.679 0.679 0.500
10 O 0.100 0.887 0.764
11 O 0.113 0.213 0.764
12 O 0.122 0.549 0.749
13 O 0.213 0.113 0.236
14 O 0.219 0.764 0.267
15 O 0.236 0.455 0.267
16 O 0.427 0.878 0.749
17 O 0.451 0.573 0.749
18 O 0.455 0.236 0.733
19 O 0.545 0.781 0.267
20 O 0.549 0.122 0.251
21 O 0.573 0.451 0.251
22 O 0.764 0.219 0.733
23 O 0.781 0.545 0.733
24 O 0.787 0.900 0.764
25 O 0.878 0.427 0.251
26 O 0.887 0.100 0.236
27 O 0.900 0.787 0.236